This entry pairs a crystal structure of CaYO3 with its simulated powder diffractogram. Radiation: λ = 1.5418 Å (Cu Kα). Structure: a structure optimized by DFT (PBE).
Neutral-atom scattering factors, no anomalous dispersion.

Atomic structure:
```
data_CaYO3
_chemical_formula_sum 'Ca1 Y1 O3'
_symmetry_space_group_name_H-M 'P m -3 m'
_symmetry_Int_Tables_number 221
_symmetry_space_group_name_Hall '-P 4 2 3'
_cell_length_a 4.3455
_cell_length_b 4.3455
_cell_length_c 4.3455
_cell_angle_alpha 90.00
_cell_angle_beta 90.00
_cell_angle_gamma 90.00
loop_
_atom_site_label
_atom_site_type_symbol
_atom_site_fract_x
_atom_site_fract_y
_atom_site_fract_z
Ca1 Ca 0.0000 0.0000 0.0000
Y1 Y 0.5000 0.5000 0.5000
O1 O 0.0000 0.5000 0.5000
```

Main lines, by intensity (10° ≤ 2θ ≤ 80°):
2θ = 29.06°, I 100, hkl 1 1 0
2θ = 41.56°, I 44, hkl 2 0 0
2θ = 51.51°, I 39, hkl 2 1 1
2θ = 20.44°, I 39, hkl 1 0 0
2θ = 60.24°, I 26, hkl 2 2 0
2θ = 68.25°, I 17, hkl 3 1 0
2θ = 46.74°, I 16, hkl 2 1 0
2θ = 75.84°, I 8, hkl 2 2 2
2θ = 64.31°, I 7, hkl 3 0 0
2θ = 79.53°, I 3, hkl 3 2 0